Theoretical powder XRD pattern of K2Ni3O6 for Cu Ka, from DFT lattice parameters and positions (PBE+U).

Largest 8 diffraction maxima, by intensity, 10 to 90 degrees two-theta:
2theta  d [Å]  Rel. int.
14.47  6.121  100
40.01  2.253  66
29.18  3.061  35
41.40  2.181  28
36.36  2.471  27
53.78  1.705  17
63.83  1.458  15
49.38  1.846  12

Cell and atoms:
Unit cell a=5.1474 b=5.1474 c=6.3158 alpha=96.88 beta=96.88 gamma=121.79
Fractional coordinates of all 11 atoms:
K: 0.1626 0.8374 0.0000
K: 0.8374 0.1626 0.0000
Ni: 0.0000 0.0000 0.5000
Ni: 0.3328 0.6672 0.5000
Ni: 0.6672 0.3328 0.5000
O: 0.0605 0.4002 0.6636
O: 0.2749 0.2749 0.3403
O: 0.4002 0.0605 0.6636
O: 0.5998 0.9395 0.3364
O: 0.7251 0.7251 0.6597
O: 0.9395 0.5998 0.3364